Tb2HoP3Rh12: computed X-ray diffraction stick pattern (Cu Kα (weighted mean of Kα1 and Kα2)), based on the PBE geometry in Alexandria.

Top 10 peaks for 2θ = 5–70°, in order of falling intensity:
2θ (°)  intensity
40.3  100
36.4  33
36.9  22
47.1  19
28.9  18
42.3  17
20.8  17
33.6  17
45.7  15
59.8  14

Unit cell a=6.7083 b=6.7083 c=6.7083 alpha=83.76 beta=83.76 gamma=83.76
Atoms (fractional coordinates):
Tb (0.1280, 0.1280, 0.1280)
Tb (0.8720, 0.8720, 0.8720)
Ho (0.5000, 0.5000, 0.5000)
P (0.0000, 0.5000, 0.5000)
P (0.5000, 0.0000, 0.5000)
P (0.5000, 0.5000, 0.0000)
Rh (0.1308, 0.1308, 0.5921)
Rh (0.1308, 0.5921, 0.1308)
Rh (0.1633, 0.6792, 0.6792)
Rh (0.3208, 0.3208, 0.8367)
Rh (0.3208, 0.8367, 0.3208)
Rh (0.4079, 0.8692, 0.8692)
Rh (0.5921, 0.1308, 0.1308)
Rh (0.6792, 0.1633, 0.6792)
Rh (0.6792, 0.6792, 0.1633)
Rh (0.8367, 0.3208, 0.3208)
Rh (0.8692, 0.4079, 0.8692)
Rh (0.8692, 0.8692, 0.4079)